[1]
PaGeF6: calculated X-ray diffraction stick pattern (Cu Ka), based on the GGA-PBE geometry in Alexandria.
Lines closer than 0.1° are merged.

Structure:
abc: 5.7500 5.7500 10.8220
angles: 90.00 90.00 120.00
Space group P-31c (No. 163)
Asymmetric unit:
Pa: 0.0000 0.0000 0.0000
Ge: 0.3333 0.6667 0.2500
F: 0.0540 0.3344 0.1209

Largest 10 diffraction maxima, sorted by position, 15 to 90 degrees two-theta:
- 16.38°, rel. 14.2, hkl 0 0 2
- 17.81°, rel. 57.5, hkl 1 0 0
- 19.62°, rel. 15.3, hkl 1 0 1
- 24.29°, rel. 100.0, hkl 1 0 2
- 31.11°, rel. 23.3, hkl 1 1 0
- 35.35°, rel. 16.6, hkl 2 -1 2
- 37.84°, rel. 14.7, hkl 1 0 4
- 39.86°, rel. 27.6, hkl 2 0 2
- 46.07°, rel. 32.8, hkl 2 -1 4
- 51.40°, rel. 27.2, hkl 3 -1 2



[2]
PaGeF: calculated X-ray diffraction stick pattern (Cu Ka), based on the GGA-PBE geometry in Alexandria.
Lines closer than 0.1° are merged.

Structure:
abc: 4.0659 4.0659 4.0010
angles: 90.00 90.00 120.00
Space group P-6m2 (No. 187)
Asymmetric unit:
Pa: 0.0000 0.0000 0.0000
Ge: 0.6667 0.3333 0.5000
F: 0.3333 0.6667 0.0000

Largest 10 diffraction maxima, sorted by position, 15 to 90 degrees two-theta:
- 22.22°, rel. 19.4, hkl 0 0 1
- 25.29°, rel. 49.4, hkl 1 0 0
- 33.91°, rel. 100.0, hkl 1 0 1
- 44.57°, rel. 34.0, hkl 1 1 0
- 45.33°, rel. 10.8, hkl 0 0 2
- 50.35°, rel. 13.6, hkl 1 1 1
- 52.62°, rel. 14.6, hkl 1 0 2
- 57.16°, rel. 23.1, hkl 2 0 1
- 65.46°, rel. 21.6, hkl 1 1 2
- 75.25°, rel. 20.9, hkl 2 1 1



[3]
Ge2PbF6: calculated X-ray diffraction stick pattern (Cu Ka), based on the GGA-PBE geometry in Alexandria.
Lines closer than 0.1° are merged.

Structure:
abc: 15.5582 6.3621 10.2627
angles: 90.00 130.57 90.00
Space group C2/c (No. 15)
Asymmetric unit:
Ge: 0.2011 0.2505 0.1088
Pb: 0.0000 0.2495 0.2500
F: 0.0962 0.0352 0.9669
F: 0.0964 0.4659 0.9670
F: 0.1588 0.2502 0.2458

Largest 10 diffraction maxima, sorted by position, 15 to 90 degrees two-theta:
- 16.39°, rel. 22.7, hkl 1 1 -1
- 22.21°, rel. 100.0, hkl 1 1 1
- 22.36°, rel. 13.4, hkl 3 1 -1
- 23.10°, rel. 48.5, hkl 4 0 -2
- 28.05°, rel. 20.7, hkl 0 2 0
- 29.65°, rel. 36.4, hkl 3 1 -3
- 34.69°, rel. 22.0, hkl 5 1 -1
- 36.46°, rel. 15.7, hkl 0 2 2
- 45.34°, rel. 15.8, hkl 2 2 2
- 46.32°, rel. 16.9, hkl 1 3 1



[4]
Rb2GePdF6: calculated X-ray diffraction stick pattern (Cu Ka), based on the GGA-PBE geometry in Alexandria.
Lines closer than 0.1° are merged.

Structure:
abc: 6.4052 6.4052 8.6875
angles: 90.00 90.00 90.00
Space group I4/mmm (No. 139)
Asymmetric unit:
Rb: 0.0000 0.5000 0.2500
Ge: 0.0000 0.0000 0.0000
Pd: 0.0000 0.0000 0.5000
F: 0.0000 0.0000 0.2186
F: 0.2082 0.2082 0.0000

Largest 10 diffraction maxima, sorted by position, 15 to 90 degrees two-theta:
- 27.86°, rel. 53.7, hkl 2 0 0
- 28.47°, rel. 100.0, hkl 1 1 2
- 39.81°, rel. 39.0, hkl 2 2 0
- 41.58°, rel. 17.7, hkl 0 0 4
- 49.66°, rel. 38.1, hkl 3 1 2
- 50.79°, rel. 18.9, hkl 2 0 4
- 57.56°, rel. 11.4, hkl 4 0 0
- 58.92°, rel. 21.8, hkl 2 2 4
- 79.41°, rel. 11.7, hkl 5 1 2
- 80.30°, rel. 11.9, hkl 4 2 4



[5]
Pm3GeF2: calculated X-ray diffraction stick pattern (Cu Ka), based on the GGA-PBE geometry in Alexandria.
Lines closer than 0.1° are merged.

Structure:
abc: 5.0498 12.9531 3.9069
angles: 90.00 90.00 90.00
Space group Pmmn (No. 59, origin choice 2)
Asymmetric unit:
Pm: 0.2500 0.0716 0.2446
Pm: 0.2500 0.7500 0.6983
Ge: 0.2500 0.2500 0.7623
F: 0.2500 0.5596 0.7400

Largest 10 diffraction maxima, sorted by position, 15 to 90 degrees two-theta:
- 23.79°, rel. 33.9, hkl 0 1 1
- 27.17°, rel. 58.5, hkl 1 3 0
- 30.87°, rel. 27.6, hkl 0 3 1
- 32.09°, rel. 100.0, hkl 1 2 1
- 35.56°, rel. 43.4, hkl 2 0 0
- 40.34°, rel. 31.9, hkl 1 4 1
- 41.84°, rel. 42.8, hkl 0 6 0
- 46.49°, rel. 17.9, hkl 0 0 2
- 56.05°, rel. 35.8, hkl 2 6 0
- 65.03°, rel. 19.2, hkl 1 8 1



[6]
Rb2GeF5: calculated X-ray diffraction stick pattern (Cu Ka), based on the GGA-PBE geometry in Alexandria.
Lines closer than 0.1° are merged.

Structure:
abc: 6.4113 6.4113 8.0614
angles: 90.00 90.00 90.00
Space group I4mm (No. 107)
Asymmetric unit:
Rb: 0.0000 0.5000 0.0000
Ge: 0.0000 0.0000 0.2538
F: 0.0000 0.0000 0.0287
F: 0.2136 0.2136 0.2546

Largest 10 diffraction maxima, sorted by position, 15 to 90 degrees two-theta:
- 17.68°, rel. 65.2, hkl 1 0 1
- 19.58°, rel. 13.5, hkl 1 1 0
- 27.83°, rel. 41.3, hkl 2 0 0
- 29.66°, rel. 100.0, hkl 1 1 2
- 35.79°, rel. 38.5, hkl 2 0 2
- 39.77°, rel. 44.5, hkl 2 2 0
- 44.98°, rel. 16.2, hkl 0 0 4
- 50.38°, rel. 39.7, hkl 3 1 2
- 53.72°, rel. 13.3, hkl 2 0 4
- 61.57°, rel. 21.7, hkl 2 2 4



[7]
RbGeF5: calculated X-ray diffraction stick pattern (Cu Ka), based on the GGA-PBE geometry in Alexandria.
Lines closer than 0.1° are merged.

Structure:
abc: 7.7836 7.9737 7.9721
angles: 90.00 90.00 90.00
Space group Imma (No. 74)
Asymmetric unit:
Rb: 0.0000 0.2500 0.2487
Ge: 0.2500 0.2500 0.7500
F: 0.0000 0.2500 0.7529
F: 0.2479 0.2500 0.5252
F: 0.2500 0.0252 0.7500

Largest 10 diffraction maxima, sorted by position, 15 to 90 degrees two-theta:
- 22.30°, rel. 100.0, hkl 0 2 0
- 27.86°, rel. 79.9, hkl 2 1 1
- 31.74°, rel. 13.2, hkl 0 2 2
- 39.47°, rel. 13.9, hkl 2 2 2
- 42.73°, rel. 35.8, hkl 2 3 1
- 45.51°, rel. 26.3, hkl 0 4 0
- 51.24°, rel. 18.3, hkl 0 4 2
- 52.32°, rel. 18.5, hkl 4 2 0
- 64.19°, rel. 18.2, hkl 2 5 1
- 67.24°, rel. 14.4, hkl 4 4 0



[8]
Rb2GeF7: calculated X-ray diffraction stick pattern (Cu Ka), based on the GGA-PBE geometry in Alexandria.
Lines closer than 0.1° are merged.

Structure:
abc: 6.1948 6.1948 9.1717
angles: 90.00 90.00 90.00
Space group I4/mmm (No. 139)
Asymmetric unit:
Rb: 0.0000 0.5000 0.2500
Ge: 0.0000 0.0000 0.0000
F: 0.0000 0.0000 0.1993
F: 0.0000 0.0000 0.5000
F: 0.2095 0.2095 0.0000

Largest 10 diffraction maxima, sorted by position, 15 to 90 degrees two-theta:
- 17.27°, rel. 44.4, hkl 1 0 1
- 28.17°, rel. 100.0, hkl 1 1 2
- 28.82°, rel. 46.0, hkl 2 0 0
- 34.96°, rel. 30.9, hkl 2 0 2
- 39.29°, rel. 22.0, hkl 0 0 4
- 41.22°, rel. 40.0, hkl 2 2 0
- 49.46°, rel. 16.1, hkl 2 0 4
- 50.67°, rel. 33.1, hkl 3 1 2
- 58.26°, rel. 22.8, hkl 2 2 4
- 64.57°, rel. 12.2, hkl 1 1 6